(1)
Diffraction record for LiCoP2O7. The powder diffraction line list is theoretical, not measured: it uses a crystal structure in the Materials Project, relaxed with PBE+U and CuKα.

Principal peaks in the range 10° ≤ 2θ ≤ 80°, by angle:
14.53 deg, intensity 85; 22.31 deg, intensity 76; 22.81 deg, intensity 99; 23.42 deg, intensity 100; 31.22 deg, intensity 37; 32.33 deg, intensity 21; 32.78 deg, intensity 20; 35.48 deg, intensity 31; 36.35 deg, intensity 14; 40.11 deg, intensity 14

Atomic structure:
Cell lengths 5.0659, 6.7876, 8.2052 Å; angles 67.86, 87.77, 87.95 degrees
Space group P1 (No. 1)
Unique sites:
1 Li 0.0000 0.0000 0.0000 [1 per cell]
2 Li 0.4984 0.3486 0.4344 [1 per cell]
3 Co 0.4784 0.9627 0.2692 [1 per cell]
4 Co 0.9551 0.3966 0.7262 [1 per cell]
5 P 0.4347 0.7086 0.6893 [1 per cell]
6 P 0.4853 0.0582 0.8286 [1 per cell]
7 P 0.9572 0.2849 0.1710 [1 per cell]
8 P 0.9977 0.6257 0.3071 [1 per cell]
9 O 0.1467 0.6492 0.6829 [1 per cell]
10 O 0.1648 0.1406 0.2921 [1 per cell]
11 O 0.2882 0.6612 0.3292 [1 per cell]
12 O 0.3089 0.2196 0.6911 [1 per cell]
13 O 0.3974 0.0221 0.0195 [1 per cell]
14 O 0.4351 0.8236 0.8287 [1 per cell]
15 O 0.5362 0.8734 0.5141 [1 per cell]
16 O 0.6131 0.5137 0.7656 [1 per cell]
17 O 0.6724 0.2315 0.2433 [1 per cell]
18 O 0.7806 0.1013 0.7908 [1 per cell]
19 O 0.8355 0.8321 0.2227 [1 per cell]
20 O 0.8650 0.4623 0.4720 [1 per cell]
21 O 0.9970 0.2927 0.9840 [1 per cell]
22 O 0.9974 0.5256 0.1555 [1 per cell]

(2)
Diffraction record for LiCo2P2O8. The powder diffraction line list is theoretical, not measured: it uses a crystal structure in the Materials Project, relaxed with PBE+U and CuKα.

Principal peaks in the range 10° ≤ 2θ ≤ 80°, by angle:
15.70 deg, intensity 58; 21.50 deg, intensity 59; 21.84 deg, intensity 100; 23.44 deg, intensity 31; 28.77 deg, intensity 13; 31.71 deg, intensity 31; 34.13 deg, intensity 19; 35.00 deg, intensity 32; 36.39 deg, intensity 16; 59.58 deg, intensity 13

Atomic structure:
Cell lengths 5.1272, 6.6913, 10.5084 Å; angles 90.00, 90.37, 90.00 degrees
Space group Pc (No. 7)
Unique sites:
1 Li 0.0000 0.2313 0.0000 [2 per cell]
2 Co 0.5017 0.0453 0.4306 [2 per cell]
3 Co 0.9977 0.4671 0.2497 [2 per cell]
4 P 0.0027 0.2709 0.5145 [2 per cell]
5 P 0.5016 0.2302 0.1670 [2 per cell]
6 O 0.3035 0.2394 0.5068 [2 per cell]
7 O 0.3674 0.4150 0.2195 [2 per cell]
8 O 0.3901 0.1806 0.0297 [2 per cell]
9 O 0.4492 0.0453 0.2552 [2 per cell]
10 O 0.7994 0.2602 0.1549 [2 per cell]
11 O 0.8699 0.0778 0.4555 [2 per cell]
12 O 0.9165 0.2942 0.6526 [2 per cell]
13 O 0.9390 0.4613 0.4345 [2 per cell]

(3)
Diffraction record for LiCoP2O7. The powder diffraction line list is theoretical, not measured: it uses a crystal structure in the Materials Project, relaxed with PBE+U and CuKα.

Principal peaks in the range 10° ≤ 2θ ≤ 80°, by angle:
14.43 deg, intensity 53; 22.38 deg, intensity 100; 23.22 deg, intensity 62; 29.13 deg, intensity 9; 31.54 deg, intensity 39; 32.55 deg, intensity 12; 35.23 deg, intensity 16; 36.18 deg, intensity 13; 39.79 deg, intensity 9; 63.84 deg, intensity 9

Atomic structure:
Cell lengths 8.5309, 5.0953, 13.6671 Å; angles 90.00, 116.10, 90.00 degrees
Space group Pc (No. 7)
Unique sites:
1 Li 0.0000 0.0128 0.0000 [2 per cell]
2 Li 0.4329 0.4711 0.8964 [2 per cell]
3 Co 0.1688 0.0119 0.2801 [2 per cell]
4 Co 0.7064 0.4866 0.3318 [2 per cell]
5 P 0.1257 0.4990 0.9292 [2 per cell]
6 P 0.2608 0.5005 0.1676 [2 per cell]
7 P 0.6074 0.0129 0.4508 [2 per cell]
8 P 0.7448 0.0146 0.6958 [2 per cell]
9 O 0.1108 0.2039 0.9072 [2 per cell]
10 O 0.1401 0.2914 0.6792 [2 per cell]
11 O 0.1890 0.2191 0.1593 [2 per cell]
12 O 0.2111 0.3554 0.3666 [2 per cell]
13 O 0.2718 0.4502 0.5543 [2 per cell]
14 O 0.4192 0.0775 0.8776 [2 per cell]
15 O 0.4457 0.4653 0.7560 [2 per cell]
16 O 0.6118 0.0225 0.0699 [2 per cell]
17 O 0.6409 0.3068 0.4438 [2 per cell]
18 O 0.6663 0.1613 0.2526 [2 per cell]
19 O 0.7417 0.3040 0.7267 [2 per cell]
20 O 0.7441 0.1658 0.9409 [2 per cell]
21 O 0.9236 0.0706 0.2075 [2 per cell]
22 O 0.9583 0.3735 0.4236 [2 per cell]

(4)
Diffraction record for LiCo2P3O10. The powder diffraction line list is theoretical, not measured: it uses a crystal structure in the Materials Project, relaxed with PBE+U and CuKα.

Principal peaks in the range 10° ≤ 2θ ≤ 80°, by angle:
14.28 deg, intensity 15; 25.12 deg, intensity 29; 25.71 deg, intensity 28; 28.43 deg, intensity 100; 31.42 deg, intensity 36; 32.90 deg, intensity 19; 33.36 deg, intensity 43; 36.60 deg, intensity 20; 43.62 deg, intensity 40; 57.27 deg, intensity 20

Atomic structure:
Cell lengths 4.6562, 8.5707, 9.0733 Å; angles 90.00, 97.87, 90.00 degrees
Space group P2_1/m (No. 11)
Unique sites:
1 Li 0.0000 0.0000 0.0000 [2 per cell]
2 Co 0.0367 0.0699 0.3360 [4 per cell]
3 P 0.3283 0.2500 0.8226 [2 per cell]
4 P 0.3946 0.7500 0.4614 [2 per cell]
5 P 0.4575 0.2500 0.1446 [2 per cell]
6 O 0.1585 0.0995 0.8138 [4 per cell]
7 O 0.2239 0.5997 0.4820 [4 per cell]
8 O 0.2423 0.7500 0.7606 [2 per cell]
9 O 0.2834 0.1006 0.1584 [4 per cell]
10 O 0.3028 0.2500 0.4474 [2 per cell]
11 O 0.4356 0.7500 0.2876 [2 per cell]
12 O 0.4508 0.7500 0.0241 [2 per cell]

(5)
Diffraction record for LiCoP4O12. The powder diffraction line list is theoretical, not measured: it uses a crystal structure in the Materials Project, relaxed with PBE+U and CuKα.

Principal peaks in the range 10° ≤ 2θ ≤ 80°, by angle:
15.63 deg, intensity 82; 16.17 deg, intensity 50; 17.51 deg, intensity 100; 23.37 deg, intensity 82; 25.68 deg, intensity 25; 26.55 deg, intensity 45; 26.69 deg, intensity 56; 28.47 deg, intensity 77; 33.17 deg, intensity 33; 35.19 deg, intensity 26

Atomic structure:
Cell lengths 7.2533, 9.1614, 7.6533 Å; angles 90.00, 109.46, 90.00 degrees
Space group P2_1 (No. 4)
Unique sites:
1 Li 0.1213 0.0000 0.4125 [2 per cell]
2 Co 0.2560 0.3328 0.7577 [2 per cell]
3 P 0.0558 0.9135 0.0220 [2 per cell]
4 P 0.0981 0.5448 0.3593 [2 per cell]
5 P 0.4105 0.1220 0.1312 [2 per cell]
6 P 0.4523 0.7465 0.4782 [2 per cell]
7 O 0.0591 0.1574 0.6713 [2 per cell]
8 O 0.0604 0.4279 0.8426 [2 per cell]
9 O 0.0920 0.4332 0.5036 [2 per cell]
10 O 0.0960 0.4629 0.1754 [2 per cell]
11 O 0.1545 0.7751 0.0128 [2 per cell]
12 O 0.1965 0.0535 0.0764 [2 per cell]
13 O 0.3146 0.6070 0.4186 [2 per cell]
14 O 0.3428 0.8830 0.4770 [2 per cell]
15 O 0.4050 0.2407 0.9942 [2 per cell]
16 O 0.4094 0.2031 0.3178 [2 per cell]
17 O 0.4094 0.2392 0.6330 [2 per cell]
18 O 0.4308 0.5109 0.8273 [2 per cell]

(6)
Diffraction record for Li2CoP2O7. The powder diffraction line list is theoretical, not measured: it uses a crystal structure in the Materials Project, relaxed with PBE+U and CuKα.

Principal peaks in the range 10° ≤ 2θ ≤ 80°, by angle:
14.69 deg, intensity 43; 22.46 deg, intensity 100; 23.05 deg, intensity 56; 31.39 deg, intensity 25; 31.58 deg, intensity 24; 33.48 deg, intensity 10; 35.13 deg, intensity 49; 37.47 deg, intensity 13; 37.67 deg, intensity 12; 56.50 deg, intensity 11

Atomic structure:
Cell lengths 4.8788, 5.1410, 12.1747 Å; angles 82.95, 89.64, 61.70 degrees
Space group P1 (No. 1)
Unique sites:
1 Li 0.0000 0.0000 0.0000 [1 per cell]
2 Li 0.1689 0.5929 0.6813 [1 per cell]
3 Li 0.4463 0.9865 0.4997 [1 per cell]
4 Li 0.6786 0.5935 0.1797 [1 per cell]
5 Co 0.0921 0.7711 0.3811 [1 per cell]
6 Co 0.5733 0.7746 0.8817 [1 per cell]
7 P 0.3047 0.3745 0.0238 [1 per cell]
8 P 0.4347 0.1688 0.2608 [1 per cell]
9 P 0.7577 0.3703 0.5229 [1 per cell]
10 P 0.8362 0.1715 0.7606 [1 per cell]
11 O 0.9996 0.5065 0.9567 [1 per cell]
12 O 0.1141 0.0515 0.8438 [1 per cell]
13 O 0.2069 0.2706 0.1464 [1 per cell]
14 O 0.2803 0.0445 0.3451 [1 per cell]
15 O 0.4090 0.6083 0.0407 [1 per cell]
16 O 0.4189 0.6000 0.5416 [1 per cell]
17 O 0.4309 0.4548 0.2866 [1 per cell]
18 O 0.5536 0.4579 0.7863 [1 per cell]
19 O 0.5676 0.0880 0.9899 [1 per cell]
20 O 0.7564 0.9263 0.7379 [1 per cell]
21 O 0.7589 0.9268 0.2355 [1 per cell]
22 O 0.7856 0.0814 0.4903 [1 per cell]
23 O 0.9222 0.5087 0.4528 [1 per cell]
24 O 0.9611 0.2703 0.6443 [1 per cell]